Theoretical powder X-ray diffraction pattern
Compound: Pr3Pt2
Radiation: Cu Kα (λ = 1.5418 Å)
Structure: the GGA-PBE geometry in OQMD
Kinematic intensities with the Lorentz-polarization factor, no thermal factor.

Most intense lines, 2θ = 15–90°, low angle first:
d 4.536, I 20, hkl 1 1 0; d 2.926, I 42, hkl 3 -1 1; d 2.861, I 43, hkl 0 0 6; d 2.806, I 100, hkl 3 -2 2; d 2.619, I 71, hkl 3 0 0; d 2.442, I 70, hkl 2 1 4; d 2.420, I 76, hkl 2 -1 6; d 2.162, I 21, hkl 1 3 1; d 2.110, I 22, hkl 3 1 2; d 1.840, I 20, hkl 3 1 5

Cell and atoms:
Unit cell a=9.0719 b=9.0719 c=17.1683 alpha=90.00 beta=90.00 gamma=120.00
Space group R-3 (No. 148, hexagonal axes)
Inequivalent atoms, fractional coordinates:
Pr1 0.0000 0.0000 0.0000 x3
Pr2 0.0000 0.0000 0.2011 x6
Pr3 0.0138 0.7563 0.5920 x18
Pt1 0.0186 0.4064 0.5701 x18